# LaAlO3
Calculated X-ray powder pattern, λ = 1.5418 Å (Cu Kα). Input: a crystal structure in the Materials Project, relaxed with PBE.
Lines closer than 0.1° are merged.

Largest 6 diffraction maxima, by angle, 2θ = 10–90°:
23.3 deg, intensity 47
33.2 deg, intensity 100
41.0 deg, intensity 43
47.7 deg, intensity 36
53.8 deg, intensity 22
59.4 deg, intensity 39

Atomic structure:
```
LaAlO3
1.0
3.811 0.000 0.000
0.000 3.811 0.000
0.000 0.000 3.811
La Al O
1 1 3
direct
0.000 0.000 0.000
0.500 0.500 0.500
0.000 0.500 0.500
0.500 0.000 0.500
0.500 0.500 0.000
```